TbY2F11: calculated X-ray powder pattern (Cu Ka), based on a cell relaxed with PBE.
Kinematic intensities with the Lorentz-polarization factor, no thermal factor.

Structural model:
```
TbY2F11
1.0
-4.196 5.129 5.590
4.196 -5.129 5.590
4.196 5.129 -5.590
Tb Y F
2 4 22
Direct
0.250 0.250 0.000
0.750 0.750 0.000
0.190 0.660 0.850
0.310 0.160 0.471
0.690 0.840 0.529
0.810 0.340 0.150
0.000 0.500 0.500
0.028 0.959 0.272
0.058 0.340 0.130
0.187 0.459 0.931
0.193 0.392 0.585
0.210 0.928 0.870
0.290 0.160 0.718
0.307 0.892 0.198
0.313 0.245 0.272
0.442 0.572 0.282
0.472 0.745 0.931
0.500 0.000 0.500
0.528 0.255 0.069
0.558 0.428 0.718
0.687 0.755 0.728
0.693 0.108 0.802
0.710 0.840 0.282
0.790 0.072 0.130
0.807 0.608 0.415
0.813 0.541 0.069
0.942 0.660 0.870
0.972 0.041 0.728
```

Largest 10 diffraction maxima, sorted by position, 5° ≤ 2θ ≤ 70°:
2theta	Rel. int.
13.6	47
21.0	100
21.8	19
23.5	60
24.3	27
26.6	21
42.7	21
43.2	25
44.9	34
46.8	28

Zn3Sn2Pt2: calculated X-ray powder pattern (Cu Ka), based on a cell relaxed with PBE.
Kinematic intensities with the Lorentz-polarization factor, no thermal factor.

Structural model:
```
Zn3Sn2Pt2
1.0
4.381 0.000 0.000
-2.191 3.794 0.000
0.000 0.000 15.782
Zn Sn Pt
6 4 4
Direct
0.000 0.000 0.169
0.000 0.000 0.331
0.000 0.000 0.669
0.000 0.000 0.831
0.333 0.667 0.250
0.667 0.333 0.750
0.333 0.667 0.573
0.333 0.667 0.927
0.667 0.333 0.073
0.667 0.333 0.427
0.000 0.000 0.000
0.000 0.000 0.500
0.333 0.667 0.750
0.667 0.333 0.250
```

Largest 10 diffraction maxima, sorted by position, 5° ≤ 2θ ≤ 70°:
2theta	Rel. int.
22.5	24
24.1	44
26.1	28
29.0	8
37.0	26
41.2	100
41.8	91
47.5	20
56.6	8
60.1	31

Tb2SmCd6: calculated X-ray powder pattern (Cu Ka), based on a cell relaxed with PBE.
Kinematic intensities with the Lorentz-polarization factor, no thermal factor.

Structural model:
```
Tb2SmCd6
1.0
-1.697 4.363 7.658
1.697 -4.363 7.658
1.697 4.363 -7.658
Tb Sm Cd
2 1 6
Direct
0.151 0.151 0.000
0.849 0.849 0.000
0.500 0.000 0.500
0.158 0.331 0.827
0.171 0.500 0.671
0.497 0.669 0.827
0.503 0.331 0.173
0.829 0.500 0.329
0.842 0.669 0.173
```

Largest 10 diffraction maxima, sorted by position, 5° ≤ 2θ ≤ 70°:
2theta	Rel. int.
30.6	52
34.0	60
35.2	48
35.5	100
36.9	51
45.0	15
50.1	15
54.1	36
66.1	15
66.4	31